Theoretical X-ray diffraction stick pattern
Compound: In3B
Radiation: Cu Ka
Structure: a DFT-relaxed cell (GGA-PBE, the Materials Project)
Peak positions follow from Bragg's law for the DFT cell and can differ from measured ones.

Principal peaks in the range 2θ from 10° to 90°, in order of rising 2θ:
| d (Å) | 2theta | I_rel | (hkl) |
| --- | --- | --- | --- |
| 4.118 | 21.58 | 21 | 1 1 1 |
| 3.566 | 24.97 | 11 | 2 0 0 |
| 2.522 | 35.60 | 100 | 2 2 0 |
| 2.150 | 42.02 | 12 | 3 1 1 |
| 1.783 | 51.24 | 17 | 4 0 0 |
| 1.636 | 56.22 | 5 | 3 3 1 |
| 1.595 | 57.82 | 4 | 4 2 0 |
| 1.456 | 63.95 | 34 | 4 2 2 |
| 1.261 | 75.39 | 11 | 4 4 0 |
| 1.128 | 86.26 | 15 | 6 2 0 |

Structural model:
Cell lengths 7.132, 7.132, 7.132 Å; angles 90.00, 90.00, 90.00 degrees
Fractional positions:
In (0.000, 0.000, 0.000)
In (0.000, 0.500, 0.500)
In (0.250, 0.250, 0.250)
In (0.250, 0.250, 0.750)
In (0.250, 0.750, 0.250)
In (0.250, 0.750, 0.750)
In (0.500, 0.000, 0.500)
In (0.500, 0.500, 0.000)
In (0.750, 0.250, 0.250)
In (0.750, 0.250, 0.750)
In (0.750, 0.750, 0.250)
In (0.750, 0.750, 0.750)
B (0.000, 0.000, 0.500)
B (0.000, 0.500, 0.000)
B (0.500, 0.000, 0.000)
B (0.500, 0.500, 0.500)